Diffraction record for NbP6W3O24. The powder diffraction line list is computed, not measured: it uses a PBE+U-relaxed structure and copper Kα.

Most intense lines, 2θ = 5–70°, in order of falling intensity:
- 2θ = 19.69°, I = 100.0
- 2θ = 20.12°, I = 83.8
- 2θ = 28.30°, I = 56.1
- 2θ = 31.44°, I = 41.5
- 2θ = 34.97°, I = 35.9
- 2θ = 14.04°, I = 34.9
- 2θ = 23.43°, I = 29.8
- 2θ = 35.23°, I = 27.8

Structure:
Cell lengths 9.0236, 9.0236, 9.0236 Å; angles 58.55, 58.55, 58.55 degrees
Element x y z (fractional)
Nb: 0.0000 0.0000 0.0000
P: 0.1149 0.3891 0.8210
P: 0.3228 0.8943 0.6053
P: 0.3891 0.8210 0.1149
P: 0.6053 0.3228 0.8943
P: 0.8210 0.1149 0.3891
P: 0.8943 0.6053 0.3228
W: 0.2144 0.2144 0.2144
W: 0.5003 0.5003 0.5003
W: 0.7156 0.7156 0.7156
O: 0.0764 0.4504 0.2643
O: 0.0972 0.2112 0.8530
O: 0.1560 0.9065 0.7891
O: 0.1703 0.3509 0.9775
O: 0.2112 0.8530 0.0972
O: 0.2643 0.0764 0.4504
O: 0.2809 0.4221 0.6391
O: 0.3483 0.7275 0.5726
O: 0.3509 0.9775 0.1703
O: 0.4221 0.6391 0.2809
O: 0.4504 0.2643 0.0764
O: 0.4945 0.8798 0.6087
O: 0.5537 0.8171 0.9408
O: 0.5726 0.3483 0.7275
O: 0.6087 0.4945 0.8798
O: 0.6391 0.2809 0.4221
O: 0.7275 0.5726 0.3483
O: 0.7891 0.1560 0.9065
O: 0.8171 0.9408 0.5537
O: 0.8530 0.0972 0.2112
O: 0.8798 0.6087 0.4945
O: 0.9065 0.7891 0.1560
O: 0.9408 0.5537 0.8171
O: 0.9775 0.1703 0.3509